Diffraction record for Li2Fe5O5F7. The powder X-ray diffraction pattern is theoretical, not measured: it uses a DFT-relaxed cell (PBE+U, Alexandria) and Cu Kα (λ = 1.5418 Å).
Peak positions follow from Bragg's law for the DFT cell and can differ from measured ones.

Largest 10 diffraction maxima, in order of rising 2θ, 10 to 90 degrees two-theta:
| h k l | two_theta | I (rel.) |
| --- | --- | --- |
| 0 0 1 | 15.28 | 60 |
| 1 1 0 | 23.91 | 22 |
| 1 1 -1 | 24.94 | 22 |
| -1 1 1 | 25.04 | 22 |
| 0 1 -2 | 31.64 | 100 |
| 1 -2 0 | 31.92 | 56 |
| 2 0 -1 | 32.24 | 52 |
| 0 3 1 | 52.94 | 26 |
| 1 -3 2 | 53.04 | 21 |
| -3 2 1 | 53.93 | 24 |

Cell and atoms:
```
Li2Fe5O5F7
1.0
5.8801 0.0000 0.0000
-0.9475 5.9037 0.0000
-0.9573 -1.1832 5.8062
Li Fe O F
2 5 5 7
Direct
0.0000 0.0000 0.0000
0.4387 0.7114 0.9212
0.1632 0.5274 0.2579
0.3156 0.1013 0.5962
0.6543 0.2740 0.2124
0.6784 0.7831 0.4485
0.8900 0.4227 0.7307
0.3552 0.8058 0.4853
0.4836 0.5237 0.1953
0.6216 0.1994 0.5341
0.8967 0.3162 0.0152
0.9032 0.5353 0.4336
0.1223 0.7181 0.0046
0.1948 0.1798 0.3019
0.2412 0.4013 0.7208
0.4278 0.0723 0.9208
0.6963 0.6763 0.7638
0.7418 0.9378 0.1904
0.9940 0.9937 0.6437
```